Structure and computed X-ray powder pattern of Rb2Si2As (the PBE geometry in Alexandria; Cu Kα (λ = 1.5418 Å)).
No peak broadening, texture or thermal motion is included.

Cell and atoms:
Cell lengths 7.0963, 7.0963, 5.6901 Å; angles 90.00, 90.00, 90.00 degrees
Space group P4/mbm (No. 127)
One atom of each set of equivalent atoms:
1 Rb 0.1984 0.3016 0.0000 x4
2 Si 0.1128 0.6128 0.5000 x4
3 As 0.0000 0.0000 0.5000 x2

Principal peaks in the range 2θ = 10–90°, most intense first:
29.67 deg, rel. 100, (2 0 1)
32.30 deg, rel. 59, (2 1 1)
31.44 deg, rel. 40, (0 0 2)
35.79 deg, rel. 21, (2 2 0)
40.19 deg, rel. 18, (3 1 0)
48.37 deg, rel. 18, (2 2 2)
54.89 deg, rel. 18, (2 0 3)
51.89 deg, rel. 17, (3 1 2)
55.80 deg, rel. 14, (4 1 1)
23.64 deg, rel. 13, (1 1 1)
63.13 deg, rel. 13, (4 1 2)
56.52 deg, rel. 11, (2 1 3)